This entry pairs a crystal structure of ErTiAlIr2 with its computed XRD peak list. Radiation: Cu Kα (weighted mean of Kα1 and Kα2). Structure: a crystal structure in Alexandria, relaxed with PBE.
Peak positions follow from Bragg's law for the DFT cell and can differ from measured ones.

Main lines, by angle (5° ≤ 2θ ≤ 70°):
2θ 31.62, d = 2.830 Å, I = 65.3, hkl 1 1 0
2θ 32.30, d = 2.772 Å, I = 78.1, hkl 1 0 3
2θ 35.34, d = 2.540 Å, I = 38.2, hkl 1 1 2
2θ 45.37, d = 1.999 Å, I = 100.0, hkl 2 0 0
2θ 56.74, d = 1.622 Å, I = 31.9, hkl 2 1 3
2θ 66.08, d = 1.414 Å, I = 51.8, hkl 2 2 0

Atomic structure:
a b c (Å): 4.002 4.002 11.529
angles (deg): 90.00 90.00 90.00
Space group I-4m2 (No. 119)
Unique sites:
1 Er 0.000 0.000 0.000
2 Ti 0.000 0.500 0.750
3 Al 0.000 0.500 0.250
4 Ir 0.000 0.000 0.386